(1)
Starting from the PBE geometry in Alexandria, the PXRD pattern of Tl4In5 was computed for Cu Kα X-rays.
Lines closer than 0.1° are merged.

Structure:
```
Tl4In5
1.0
9.6256 0.0000 0.0000
-4.8128 8.3361 0.0000
0.0000 0.0000 6.5718
Tl In
8 10
direct
0.0000 0.0000 0.0000 Tl
0.0000 0.0000 0.5000 Tl
0.0000 0.3256 0.2500 Tl
0.0000 0.6744 0.7500 Tl
0.3256 0.0000 0.2500 Tl
0.3256 0.3256 0.7500 Tl
0.6744 0.0000 0.7500 Tl
0.6744 0.6744 0.2500 Tl
0.0000 0.3456 0.7500 In
0.0000 0.6544 0.2500 In
0.3333 0.6667 0.0000 In
0.3333 0.6667 0.5000 In
0.3456 0.0000 0.7500 In
0.3456 0.3456 0.2500 In
0.6544 0.0000 0.2500 In
0.6544 0.6544 0.7500 In
0.6667 0.3333 0.0000 In
0.6667 0.3333 0.5000 In
```

Main lines, in order of falling intensity (15 to 90 degrees two-theta):
d_spacing	intensity
2.779	1000
2.714	819
1.591	321
1.941	305
1.414	251
1.604	186
1.237	139
1.148	127


(2)
Starting from the PBE geometry in Alexandria, the PXRD pattern of Ho6Bi2Sb was computed for Cu Kα X-rays.
Lines closer than 0.1° are merged.

Structure:
```
Ho6Bi2Sb
1.0
6.4060 0.0000 0.0000
0.0000 8.3044 0.0000
-6.0990 0.0000 10.2914
Ho Bi Sb
12 4 2
direct
0.0676 0.1973 0.4478 Ho
0.0676 0.3027 0.9478 Ho
0.3156 0.6609 0.4480 Ho
0.3156 0.8391 0.9480 Ho
0.3514 0.0325 0.2202 Ho
0.3514 0.4675 0.7202 Ho
0.6486 0.5325 0.2798 Ho
0.6486 0.9675 0.7798 Ho
0.6844 0.1609 0.0520 Ho
0.6844 0.3391 0.5520 Ho
0.9324 0.6973 0.0522 Ho
0.9324 0.8027 0.5522 Ho
0.1544 0.1174 0.7426 Bi
0.1544 0.3826 0.2426 Bi
0.8456 0.6174 0.7574 Bi
0.8456 0.8826 0.2574 Bi
0.5000 0.0000 0.5000 Sb
0.5000 0.5000 0.0000 Sb
```

Main lines, in order of falling intensity (15 to 90 degrees two-theta):
d_spacing	intensity
2.890	1000
2.541	899
2.987	590
2.645	575
2.907	559
2.873	543
3.231	511
2.811	504


(3)
Starting from the PBE geometry in Alexandria, the PXRD pattern of Cs2RbTa2O7 was computed for Cu Kα X-rays.
Lines closer than 0.1° are merged.

Structure:
```
Cs2RbTa2O7
1.0
-2.0430 2.0430 12.3438
2.0430 -2.0430 12.3438
2.0430 2.0430 -12.3438
Cs Rb Ta O
2 1 2 7
direct
0.1881 0.1881 0.0000 Cs
0.8119 0.8119 0.0000 Cs
0.0000 0.0000 0.0000 Rb
0.4138 0.4138 0.0000 Ta
0.5862 0.5862 0.0000 Ta
0.0836 0.5836 0.5000 O
0.3373 0.3373 0.0000 O
0.4164 0.9164 0.5000 O
0.5000 0.5000 0.0000 O
0.5836 0.0836 0.5000 O
0.6627 0.6627 0.0000 O
0.9164 0.4164 0.5000 O
```

Main lines, in order of falling intensity (15 to 90 degrees two-theta):
d_spacing	intensity
3.148	1000
2.889	486
1.714	347
2.043	252
1.877	130
4.031	116
2.469	95
1.574	94


(4)
Starting from the PBE geometry in Alexandria, the PXRD pattern of Er8Tm3Sc3 was computed for Cu Kα X-rays.
Lines closer than 0.1° are merged.

Structure:
```
Er8Tm3Sc3
1.0
-2.7250 5.1799 7.3060
2.7250 -5.1799 7.3060
2.7250 5.1799 -7.3060
Er Tm Sc
8 3 3
direct
0.0577 0.3976 0.6601 Er
0.0612 0.2198 0.8413 Er
0.2625 0.6024 0.6601 Er
0.3785 0.2198 0.1587 Er
0.6215 0.7802 0.8413 Er
0.7375 0.3976 0.3399 Er
0.9388 0.7802 0.1587 Er
0.9423 0.6024 0.3399 Er
0.3231 0.8231 0.5000 Tm
0.5000 0.5000 0.0000 Tm
0.6769 0.1769 0.5000 Tm
0.0000 0.0000 0.0000 Sc
0.2943 0.0000 0.2943 Sc
0.7057 0.0000 0.7057 Sc
```

Main lines, in order of falling intensity (15 to 90 degrees two-theta):
d_spacing	intensity
2.709	1000
2.725	601
2.575	536
2.912	523
3.361	393
2.816	323
2.117	230
1.958	227


(5)
Starting from the PBE geometry in Alexandria, the PXRD pattern of Nd6HgPb2 was computed for Cu Kα X-rays.
Lines closer than 0.1° are merged.

Structure:
```
Nd6HgPb2
1.0
8.6606 0.0000 0.0000
-4.3303 7.5003 0.0000
0.0000 0.0000 4.5077
Nd Hg Pb
6 1 2
direct
0.0000 0.4094 0.0000 Nd
0.0000 0.7448 0.5000 Nd
0.2552 0.2552 0.5000 Nd
0.4094 0.0000 0.0000 Nd
0.5906 0.5906 0.0000 Nd
0.7448 0.0000 0.5000 Nd
0.0000 0.0000 0.0000 Hg
0.3333 0.6667 0.5000 Pb
0.6667 0.3333 0.5000 Pb
```

Main lines, in order of falling intensity (15 to 90 degrees two-theta):
d_spacing	intensity
2.883	1000
3.123	745
2.500	479
2.400	468
1.608	382
2.835	373
1.674	288
2.254	277